Starting from a cell relaxed with GGA+U, the X-ray diffraction stick pattern of Nd2MoSe2O10 was calculated for Cu Kα (λ = 1.5418 Å).

Structure:
abc: 5.4586 6.9714 12.7624
angles: 85.57 83.73 69.96
Positions (direct):
Nd (0.0865, 0.3867, 0.3522)
Nd (0.1686, 0.1966, 0.0472)
Nd (0.8314, 0.8034, 0.9528)
Nd (0.9135, 0.6133, 0.6478)
Mo (0.3638, 0.7775, 0.4411)
Mo (0.6362, 0.2225, 0.5589)
Se (0.2606, 0.9216, 0.7771)
Se (0.3945, 0.6029, 0.1308)
Se (0.6055, 0.3971, 0.8692)
Se (0.7394, 0.0784, 0.2229)
O (0.1182, 0.7308, 0.7810)
O (0.1413, 0.9916, 0.9049)
O (0.1464, 0.6252, 0.4698)
O (0.1751, 0.0259, 0.3935)
O (0.1814, 0.6644, 0.2416)
O (0.1827, 0.5586, 0.0447)
O (0.3543, 0.3426, 0.6464)
O (0.4141, 0.2186, 0.2022)
O (0.4388, 0.8327, 0.0806)
O (0.4783, 0.7862, 0.5664)
O (0.5217, 0.2138, 0.4336)
O (0.5612, 0.1673, 0.9194)
O (0.5859, 0.7814, 0.7978)
O (0.6457, 0.6574, 0.3536)
O (0.8173, 0.4414, 0.9553)
O (0.8186, 0.3356, 0.7584)
O (0.8249, 0.9741, 0.6065)
O (0.8536, 0.3748, 0.5302)
O (0.8587, 0.0084, 0.0951)
O (0.8818, 0.2692, 0.2190)

Largest 10 diffraction maxima, sorted by position, 10 to 90 degrees two-theta:
2θ/deg  d/Å  intensity  index
15.5  5.716  16  0 1 -1
26.2  3.404  100  1 1 3
28.6  3.125  38  1 2 -1
28.6  3.123  43  1 0 -3
30.2  2.959  26  0 2 2
31.9  2.805  18  0 1 -4
33.1  2.709  20  2 1 0
44.5  2.036  23  0 1 6
45.4  1.998  24  2 3 2
51.3  1.782  14  1 3 5